Starting from a DFT-relaxed cell (PBE, the Materials Project), the X-ray powder pattern of In2SiAg2S6 was calculated for Cu Kα (weighted mean of Kα1 and Kα2).
No peak broadening, texture or thermal motion is included.

Crystal structure
```
data_In2SiAg2S6
_chemical_formula_sum 'In4 Si2 Ag4 S12'
_space_group_name_H-M_alt 'P 1'
_space_group_IT_number 1
_cell_length_a 7.169
_cell_length_b 7.169
_cell_length_c 12.320
_cell_angle_alpha 106.62
_cell_angle_beta 106.62
_cell_angle_gamma 61.23
loop_
_space_group_symop_operation_xyz
'x,y,z'
loop_
_atom_site_label
_atom_site_type_symbol
_atom_site_fract_x
_atom_site_fract_y
_atom_site_fract_z
_atom_site_occupancy
In1 In 0.065 0.935 0.500 1
In2 In 0.087 0.275 0.802 1
In3 In 0.275 0.087 0.302 1
In4 In 0.935 0.065 0.000 1
Si1 Si 0.164 0.702 0.743 1
Si2 Si 0.702 0.164 0.243 1
Ag1 Ag 0.150 0.573 0.154 1
Ag2 Ag 0.567 0.748 0.996 1
Ag3 Ag 0.573 0.150 0.654 1
Ag4 Ag 0.748 0.567 0.496 1
S1 S 0.116 0.606 0.560 1
S2 S 0.279 0.827 0.115 1
S3 S 0.355 0.877 0.793 1
S4 S 0.358 0.413 0.817 1
S5 S 0.410 0.931 0.484 1
S6 S 0.413 0.358 0.317 1
S7 S 0.606 0.116 0.060 1
S8 S 0.827 0.279 0.615 1
S9 S 0.861 0.865 0.799 1
S10 S 0.865 0.861 0.299 1
S11 S 0.877 0.355 0.293 1
S12 S 0.931 0.410 0.984 1
```

The 8 most intense peaks (2θ from 5° to 70°), in order of falling intensity:
26.03°, intensity 100; 25.57°, intensity 64; 46.87°, intensity 58; 24.86°, intensity 54; 29.43°, intensity 52; 46.07°, intensity 50; 25.00°, intensity 45; 30.75°, intensity 44